Diffraction record for Sr4ZrTi3O12. The X-ray powder pattern is computed, not measured: it uses a DFT-relaxed cell (PBE, the Materials Project) and Cu Kα (weighted mean of Kα1 and Kα2).
Intensities are scaled so that the largest is 100.

Cell and atoms:
```
Sr4ZrTi3O12
1.0
4.028 0.000 0.000
0.000 4.028 0.000
0.000 0.000 15.999
Sr Zr Ti O
4 1 3 12
Direct
0.000 0.000 0.122
0.000 0.000 0.364
0.000 0.000 0.636
0.000 0.000 0.878
0.500 0.500 0.500
0.500 0.500 0.000
0.500 0.500 0.245
0.500 0.500 0.755
0.000 0.500 0.000
0.000 0.500 0.245
0.000 0.500 0.500
0.000 0.500 0.755
0.500 0.000 0.000
0.500 0.000 0.245
0.500 0.000 0.500
0.500 0.000 0.755
0.500 0.500 0.122
0.500 0.500 0.366
0.500 0.500 0.634
0.500 0.500 0.878
```

The 6 most intense peaks (2θ = 10–90°), sorted by position:
| 2θ/deg | intensity |
| --- | --- |
| 31.41 | 52 |
| 31.52 | 100 |
| 38.81 | 20 |
| 45.01 | 41 |
| 55.98 | 39 |
| 65.81 | 21 |

***

Diffraction record for Sr2Tl2O5. The X-ray powder pattern is computed, not measured: it uses a DFT-relaxed cell (PBE, the Materials Project) and Cu Kα (weighted mean of Kα1 and Kα2).
Intensities are scaled so that the largest is 100.

Cell and atoms:
```
Sr2Tl2O5
1.0
6.099 0.000 0.000
0.000 14.124 0.000
-2.014 0.000 6.793
Sr Tl O
8 8 20
Direct
0.046 0.113 0.136
0.046 0.387 0.636
0.437 0.737 0.738
0.437 0.763 0.238
0.563 0.237 0.762
0.563 0.263 0.262
0.954 0.613 0.364
0.954 0.887 0.864
0.045 0.107 0.637
0.045 0.393 0.137
0.500 0.000 0.000
0.500 0.000 0.500
0.500 0.500 0.000
0.500 0.500 0.500
0.955 0.607 0.863
0.955 0.893 0.363
0.141 0.734 0.918
0.141 0.766 0.418
0.208 0.535 0.176
0.208 0.965 0.676
0.233 0.554 0.685
0.233 0.946 0.185
0.334 0.139 0.464
0.334 0.361 0.964
0.350 0.139 0.963
0.350 0.361 0.463
0.650 0.639 0.537
0.650 0.861 0.037
0.666 0.639 0.036
0.666 0.861 0.536
0.767 0.054 0.815
0.767 0.446 0.315
0.792 0.035 0.324
0.792 0.465 0.824
0.859 0.234 0.582
0.859 0.266 0.082
```

The 6 most intense peaks (2θ = 10–90°), sorted by position:
| 2θ/deg | intensity |
| --- | --- |
| 12.53 | 45 |
| 29.22 | 50 |
| 29.55 | 100 |
| 30.58 | 39 |
| 32.55 | 32 |
| 36.67 | 29 |

***

Diffraction record for SrTl2O4. The X-ray powder pattern is computed, not measured: it uses a DFT-relaxed cell (PBE, the Materials Project) and Cu Kα (weighted mean of Kα1 and Kα2).
Intensities are scaled so that the largest is 100.

Cell and atoms:
```
SrTl2O4
1.0
10.217 0.000 0.000
0.000 3.475 0.000
0.000 0.000 11.938
Sr Tl O
4 8 16
Direct
0.245 0.250 0.152
0.255 0.750 0.652
0.745 0.250 0.348
0.755 0.750 0.848
0.075 0.250 0.390
0.080 0.250 0.892
0.420 0.750 0.392
0.425 0.750 0.890
0.575 0.250 0.110
0.580 0.250 0.608
0.920 0.750 0.108
0.925 0.750 0.610
0.021 0.750 0.780
0.088 0.250 0.574
0.125 0.750 0.025
0.211 0.750 0.321
0.289 0.250 0.821
0.375 0.250 0.525
0.412 0.750 0.074
0.479 0.250 0.280
0.521 0.750 0.720
0.588 0.250 0.926
0.625 0.750 0.475
0.711 0.750 0.179
0.789 0.250 0.679
0.875 0.250 0.975
0.912 0.750 0.426
0.979 0.250 0.220
```

The 6 most intense peaks (2θ = 10–90°), sorted by position:
| 2θ/deg | intensity |
| --- | --- |
| 29.94 | 30 |
| 30.21 | 68 |
| 31.07 | 100 |
| 43.73 | 27 |
| 53.85 | 20 |
| 61.94 | 19 |

***

Diffraction record for Sr2Tl2O5. The X-ray powder pattern is computed, not measured: it uses a DFT-relaxed cell (PBE, the Materials Project) and Cu Kα (weighted mean of Kα1 and Kα2).
Intensities are scaled so that the largest is 100.

Cell and atoms:
```
Sr2Tl2O5
1.0
1.782 -5.835 0.000
1.782 5.835 0.000
0.000 0.000 14.102
Sr Tl O
4 4 10
Direct
0.033 0.967 0.500
0.213 0.787 0.846
0.787 0.213 0.346
0.967 0.033 0.000
0.236 0.764 0.127
0.489 0.511 0.735
0.511 0.489 0.235
0.764 0.236 0.627
0.121 0.879 0.679
0.160 0.840 0.268
0.318 0.682 0.994
0.407 0.593 0.596
0.440 0.560 0.375
0.560 0.440 0.875
0.593 0.407 0.096
0.682 0.318 0.494
0.840 0.160 0.768
0.879 0.121 0.179
```

The 6 most intense peaks (2θ = 10–90°), sorted by position:
| 2θ/deg | intensity |
| --- | --- |
| 12.55 | 69 |
| 29.10 | 51 |
| 29.60 | 100 |
| 30.64 | 37 |
| 34.73 | 46 |
| 36.49 | 49 |